EuCu: calculated powder diffractogram (Cu Kα X-rays), based on DFT lattice parameters and positions (GGA-PBE).
Intensities are scaled so that the largest is 100.

Structure:
Lattice parameters (Å, degrees): 7.764 4.409 5.931 90.00 90.00 90.00
Positions (direct):
Eu: 0.181 0.250 0.130
Eu: 0.319 0.750 0.630
Eu: 0.681 0.250 0.370
Eu: 0.819 0.750 0.870
Cu: 0.030 0.250 0.604
Cu: 0.470 0.750 0.104
Cu: 0.530 0.250 0.896
Cu: 0.970 0.750 0.396

Top 10 peaks for 10 to 90 degrees two-theta, in order of rising 2θ:
two_theta	Rel. int.
25.17	38.8
27.70	92.0
30.68	100.0
32.31	99.3
34.29	93.4
37.93	61.0
38.37	91.9
40.94	56.2
53.09	48.3
57.03	36.2


EuCu: calculated powder diffractogram (Cu Kα X-rays), based on DFT lattice parameters and positions (GGA-PBE).
Intensities are scaled so that the largest is 100.

Structure:
Lattice parameters (Å, degrees): 3.627 3.627 3.627 90.00 90.00 90.00
Positions (direct):
Eu: 0.000 0.000 0.000
Cu: 0.500 0.500 0.500

Top 10 peaks for 10 to 90 degrees two-theta, in order of rising 2θ:
two_theta	Rel. int.
24.54	17.0
34.99	100.0
43.20	5.3
50.32	17.5
56.76	7.4
62.75	35.3
73.91	10.8
79.24	3.9
84.47	15.4
89.65	2.4


EuCu5: calculated powder diffractogram (Cu Kα X-rays), based on DFT lattice parameters and positions (GGA-PBE).
Intensities are scaled so that the largest is 100.

Structure:
Lattice parameters (Å, degrees): 5.159 5.159 4.043 90.00 90.00 120.00
Positions (direct):
Eu: 0.000 0.000 0.000
Cu: 0.000 0.500 0.500
Cu: 0.333 0.667 0.000
Cu: 0.500 0.000 0.500
Cu: 0.500 0.500 0.500
Cu: 0.667 0.333 0.000

Top 10 peaks for 10 to 90 degrees two-theta, in order of rising 2θ:
two_theta	Rel. int.
29.80	44.2
34.78	31.3
40.37	35.4
41.53	100.0
44.84	25.4
57.96	13.9
61.91	19.2
66.96	22.8
73.41	19.6
80.40	13.4


EuCuSF: calculated powder diffractogram (Cu Kα X-rays), based on DFT lattice parameters and positions (GGA-PBE).
Intensities are scaled so that the largest is 100.

Structure:
Lattice parameters (Å, degrees): 3.920 3.920 8.631 90.00 90.00 90.00
Positions (direct):
Eu: 0.250 0.250 0.176
Eu: 0.750 0.750 0.824
Cu: 0.250 0.750 0.500
Cu: 0.750 0.250 0.500
S: 0.250 0.250 0.665
S: 0.750 0.750 0.335
F: 0.250 0.750 0.000
F: 0.750 0.250 0.000

Top 10 peaks for 10 to 90 degrees two-theta, in order of rising 2θ:
two_theta	Rel. int.
24.95	83.7
30.81	100.0
31.09	29.3
33.97	34.3
38.60	91.7
46.32	51.8
48.14	37.8
53.32	22.6
56.67	34.1
69.02	25.6


EuGaCu: calculated powder diffractogram (Cu Kα X-rays), based on DFT lattice parameters and positions (GGA-PBE).
Intensities are scaled so that the largest is 100.

Structure:
Lattice parameters (Å, degrees): 5.614 5.614 7.382 128.61 128.61 47.62
Positions (direct):
Eu: 0.050 0.050 0.305
Eu: 0.950 0.950 0.695
Ga: 0.331 0.331 0.893
Ga: 0.669 0.669 0.107
Cu: 0.334 0.334 0.275
Cu: 0.666 0.666 0.725

Top 10 peaks for 10 to 90 degrees two-theta, in order of rising 2θ:
two_theta	Rel. int.
22.92	34.6
32.83	47.3
33.08	100.0
33.19	35.9
33.73	44.0
33.97	91.0
34.95	37.7
37.95	26.0
39.77	67.3
41.19	76.0


EuGa3Cu: calculated powder diffractogram (Cu Kα X-rays), based on DFT lattice parameters and positions (GGA-PBE).
Intensities are scaled so that the largest is 100.

Structure:
Lattice parameters (Å, degrees): 6.111 6.111 6.111 139.03 139.03 59.33
Positions (direct):
Eu: 0.000 0.000 0.000
Ga: 0.382 0.382 0.000
Ga: 0.618 0.618 0.000
Ga: 0.750 0.250 0.500
Cu: 0.250 0.750 0.500

Top 10 peaks for 10 to 90 degrees two-theta, in order of rising 2θ:
two_theta	Rel. int.
29.53	18.9
32.84	69.1
34.11	100.0
42.25	56.8
47.81	30.7
54.52	32.2
61.29	18.3
65.68	23.4
72.04	21.7
86.23	13.4


EuCuGe: calculated powder diffractogram (Cu Kα X-rays), based on DFT lattice parameters and positions (GGA-PBE).
Intensities are scaled so that the largest is 100.

Structure:
Lattice parameters (Å, degrees): 22.479 4.501 7.638 90.00 90.00 90.00
Positions (direct):
Eu: 0.002 0.250 0.214
Eu: 0.166 0.250 0.293
Eu: 0.167 0.750 0.706
Eu: 0.333 0.250 0.206
Eu: 0.334 0.750 0.793
Eu: 0.498 0.750 0.714
Eu: 0.502 0.250 0.286
Eu: 0.666 0.250 0.207
Eu: 0.667 0.750 0.794
Eu: 0.833 0.250 0.294
Eu: 0.834 0.750 0.707
Eu: 0.998 0.750 0.786
Cu: 0.064 0.750 0.420
Cu: 0.097 0.250 0.916
Cu: 0.236 0.250 0.913
Cu: 0.264 0.750 0.413
Cu: 0.403 0.750 0.416
Cu: 0.436 0.250 0.920
Cu: 0.564 0.750 0.080
Cu: 0.597 0.250 0.584
Cu: 0.736 0.250 0.587
Cu: 0.764 0.750 0.087
Cu: 0.903 0.750 0.084
Cu: 0.936 0.250 0.580
Ge: 0.069 0.250 0.592
Ge: 0.103 0.750 0.085
Ge: 0.230 0.750 0.081
Ge: 0.270 0.250 0.581
Ge: 0.397 0.250 0.585
Ge: 0.431 0.750 0.092
Ge: 0.569 0.250 0.908
Ge: 0.603 0.750 0.415
Ge: 0.730 0.750 0.419
Ge: 0.770 0.250 0.919
Ge: 0.897 0.250 0.915
Ge: 0.931 0.750 0.408

Top 10 peaks for 10 to 90 degrees two-theta, in order of rising 2θ:
two_theta	Rel. int.
22.93	15.9
33.00	31.5
33.25	100.0
33.51	40.8
37.90	16.0
40.07	31.1
40.72	43.1
53.19	21.5
64.86	17.3
68.48	12.0


Eu2Cu4Si3Ge: calculated powder diffractogram (Cu Kα X-rays), based on DFT lattice parameters and positions (GGA-PBE).
Intensities are scaled so that the largest is 100.

Structure:
Lattice parameters (Å, degrees): 4.142 4.142 9.909 90.00 90.00 90.00
Positions (direct):
Eu: 0.000 0.000 0.000
Eu: 0.500 0.500 0.496
Cu: 0.000 0.500 0.248
Cu: 0.000 0.500 0.756
Cu: 0.500 0.000 0.248
Cu: 0.500 0.000 0.756
Si: 0.000 0.000 0.370
Si: 0.500 0.500 0.120
Si: 0.500 0.500 0.879
Ge: 0.000 0.000 0.618

Top 10 peaks for 10 to 90 degrees two-theta, in order of rising 2θ:
two_theta	Rel. int.
23.28	29.2
34.74	52.0
35.61	100.0
43.71	43.8
51.09	18.6
57.00	24.6
63.54	13.9
64.81	14.5
69.46	14.8
75.01	21.3


Eu2CuIr: calculated powder diffractogram (Cu Kα X-rays), based on DFT lattice parameters and positions (GGA-PBE).
Intensities are scaled so that the largest is 100.

Structure:
Lattice parameters (Å, degrees): 5.004 5.004 5.004 60.00 60.00 60.00
Positions (direct):
Eu: 0.250 0.250 0.250
Eu: 0.750 0.750 0.750
Cu: 0.000 0.000 0.000
Ir: 0.500 0.500 0.500

Top 10 peaks for 10 to 90 degrees two-theta, in order of rising 2θ:
two_theta	Rel. int.
21.75	10.4
35.89	100.0
42.36	5.8
51.66	17.6
56.70	2.6
64.51	35.9
68.95	2.0
76.08	11.2
80.25	2.0
87.10	16.2


KEuCu2Te4: calculated powder diffractogram (Cu Kα X-rays), based on DFT lattice parameters and positions (GGA-PBE).
Intensities are scaled so that the largest is 100.

Structure:
Lattice parameters (Å, degrees): 4.439 4.439 11.370 90.00 90.00 90.00
Positions (direct):
K: 0.000 0.000 0.000
Eu: 0.500 0.500 0.489
Cu: 0.000 0.500 0.731
Cu: 0.500 0.000 0.731
Te: 0.000 0.000 0.585
Te: 0.000 0.500 0.263
Te: 0.500 0.000 0.263
Te: 0.500 0.500 0.859

Top 10 peaks for 10 to 90 degrees two-theta, in order of rising 2θ:
two_theta	Rel. int.
25.46	32.9
29.53	27.0
31.03	31.9
32.59	100.0
37.19	20.1
40.65	50.4
42.93	16.8
44.78	17.7
58.85	16.6
68.91	21.6


EuMg2Cu9: calculated powder diffractogram (Cu Kα X-rays), based on DFT lattice parameters and positions (GGA-PBE).
Intensities are scaled so that the largest is 100.

Structure:
Lattice parameters (Å, degrees): 5.071 5.071 16.089 90.00 90.00 120.00
Positions (direct):
Eu: 0.333 0.667 0.250
Eu: 0.667 0.333 0.750
Mg: 0.333 0.667 0.032
Mg: 0.333 0.667 0.468
Mg: 0.667 0.333 0.532
Mg: 0.667 0.333 0.968
Cu: 0.000 0.000 0.000
Cu: 0.000 0.000 0.250
Cu: 0.000 0.000 0.500
Cu: 0.000 0.000 0.750
Cu: 0.168 0.337 0.622
Cu: 0.168 0.337 0.878
Cu: 0.168 0.832 0.622
Cu: 0.168 0.832 0.878
Cu: 0.333 0.667 0.750
Cu: 0.337 0.168 0.122
Cu: 0.337 0.168 0.378
Cu: 0.663 0.832 0.622
Cu: 0.663 0.832 0.878
Cu: 0.667 0.333 0.250
Cu: 0.832 0.168 0.122
Cu: 0.832 0.168 0.378
Cu: 0.832 0.663 0.122
Cu: 0.832 0.663 0.378

Top 10 peaks for 10 to 90 degrees two-theta, in order of rising 2θ:
two_theta	Rel. int.
11.00	36.1
26.23	23.9
34.56	21.8
35.40	21.5
41.51	40.1
42.13	100.0
45.08	28.2
58.12	17.5
68.17	22.2
74.91	19.6


Eu4MgCu4O10: calculated powder diffractogram (Cu Kα X-rays), based on DFT lattice parameters and positions (GGA-PBE).
Intensities are scaled so that the largest is 100.

Structure:
Lattice parameters (Å, degrees): 5.336 5.598 8.919 107.69 106.89 90.95
Positions (direct):
Eu: 0.000 0.000 0.000
Eu: 0.196 0.175 0.424
Eu: 0.498 0.474 0.020
Eu: 0.720 0.722 0.443
Mg: 0.566 0.102 0.721
Cu: 0.096 0.594 0.224
Cu: 0.342 0.704 0.723
Cu: 0.592 0.090 0.216
Cu: 0.934 0.457 0.722
O: 0.239 0.831 0.534
O: 0.296 0.368 0.724
O: 0.329 0.826 0.195
O: 0.351 0.355 0.236
O: 0.431 0.014 0.922
O: 0.683 0.164 0.531
O: 0.759 0.765 0.723
O: 0.843 0.837 0.208
O: 0.858 0.360 0.250
O: 0.866 0.347 0.908

Top 10 peaks for 10 to 90 degrees two-theta, in order of rising 2θ:
two_theta	Rel. int.
22.84	15.0
23.22	21.7
31.94	100.0
32.10	27.8
32.32	26.3
33.60	37.7
40.74	14.5
44.88	12.8
46.65	20.9
47.47	12.2


Sr2EuNbCu2O8: calculated powder diffractogram (Cu Kα X-rays), based on DFT lattice parameters and positions (GGA-PBE).
Intensities are scaled so that the largest is 100.

Structure:
Lattice parameters (Å, degrees): 12.478 12.478 12.478 154.47 154.47 36.42
Positions (direct):
Sr: 0.100 0.600 0.500
Sr: 0.400 0.900 0.500
Sr: 0.600 0.100 0.500
Sr: 0.900 0.400 0.500
Eu: 0.250 0.750 0.500
Eu: 0.750 0.250 0.500
Nb: 0.000 0.000 0.000
Nb: 0.500 0.500 0.000
Cu: 0.178 0.178 0.000
Cu: 0.322 0.322 0.000
Cu: 0.678 0.678 0.000
Cu: 0.822 0.822 0.000
O: 0.064 0.067 0.500
O: 0.067 0.567 0.003
O: 0.084 0.084 0.000
O: 0.181 0.681 0.861
O: 0.319 0.181 0.500
O: 0.416 0.416 0.000
O: 0.433 0.436 0.500
O: 0.436 0.936 0.003
O: 0.564 0.064 0.997
O: 0.567 0.564 0.500
O: 0.584 0.584 0.000
O: 0.681 0.819 0.500
O: 0.819 0.319 0.139
O: 0.916 0.916 0.000
O: 0.933 0.433 0.997
O: 0.936 0.933 0.500

Top 10 peaks for 10 to 90 degrees two-theta, in order of rising 2θ:
two_theta	Rel. int.
24.03	13.1
32.26	100.0
32.48	55.8
38.15	18.9
46.59	34.5
57.38	12.3
57.80	40.1
67.50	9.6
68.01	9.8
77.40	9.9